The following is a computed powder diffraction line list of Tm2GaNi7. It was derived from a crystal structure in Alexandria, relaxed with GGA-PBE, using a wavelength of 1.5418 Å.

Top 10 peaks for 2θ from 10° to 80°, by angle:
| 2θ (°) | I/Imax |
| --- | --- |
| 20.41 | 3 |
| 29.02 | 83 |
| 35.74 | 94 |
| 41.51 | 100 |
| 46.68 | 2 |
| 51.44 | 35 |
| 60.15 | 64 |
| 68.15 | 15 |
| 71.98 | 34 |
| 75.73 | 21 |

Structure:
```
10
Lattice="0.0000 4.3509 4.3509 4.3509 0.0000 4.3509 4.3509 4.3509 0.0000" Properties=species:S:1:pos:R:3 pbc="T T T"
Tm 2.1755 2.1755 2.1755
Tm 6.5264 6.5264 6.5264
Ga 0.0000 0.0000 0.0000
Ni 4.3509 4.3509 2.1819
Ni 4.3509 2.1819 4.3509
Ni 6.5200 4.3509 4.3509
Ni 4.3509 4.3509 4.3509
Ni 2.1819 4.3509 4.3509
Ni 4.3509 6.5200 4.3509
Ni 4.3509 4.3509 6.5200
```

***

The following is a computed powder diffraction line list of Tm2Ga9Ni6. It was derived from a crystal structure in Alexandria, relaxed with GGA-PBE, using a wavelength of 1.5418 Å.

Top 10 peaks for 2θ from 10° to 80°, by angle:
| 2θ (°) | I/Imax |
| --- | --- |
| 20.93 | 23 |
| 30.13 | 34 |
| 34.10 | 25 |
| 39.58 | 41 |
| 41.39 | 100 |
| 46.14 | 22 |
| 46.47 | 27 |
| 62.64 | 23 |
| 66.03 | 24 |
| 71.81 | 20 |

Structure:
```
17
Lattice="5.2585 0.0000 0.0000 -2.6292 4.5540 0.0000 0.0000 0.0000 11.7235" Properties=species:S:1:pos:R:3 pbc="T T T"
Tm 0.0000 0.0000 1.8820
Tm 0.0000 0.0000 9.8416
Ga -1.3146 2.2770 0.0000
Ga -1.3146 2.2770 3.9750
Ga -1.3146 2.2770 7.7485
Ga 2.6292 0.0000 0.0000
Ga 2.6292 0.0000 3.9750
Ga 2.6292 0.0000 7.7485
Ga 1.3146 2.2770 0.0000
Ga 1.3146 2.2770 3.9750
Ga 1.3146 2.2770 7.7485
Ni 0.0000 3.0360 2.0120
Ni 0.0000 3.0360 5.8618
Ni 0.0000 3.0360 9.7115
Ni 2.6293 1.5180 2.0120
Ni 2.6293 1.5180 5.8618
Ni 2.6293 1.5180 9.7115
```

***

> Number 2 is which compound?

Tm2Ga9Ni6